1.
Computed X-ray diffraction stick pattern of SnHg2Au2 for a wavelength of 1.5418 Å, from a PBE-relaxed structure.
Neutral-atom scattering factors, no anomalous dispersion.

Crystal structure
```
data_SnHg2Au2
_chemical_formula_sum 'Sn2 Hg4 Au4'
_cell_length_a 3.4677
_cell_length_b 7.4840
_cell_length_c 9.7170
_cell_angle_alpha 89.92
_cell_angle_beta 89.89
_cell_angle_gamma 76.80
_symmetry_space_group_name_H-M 'P 1'
_symmetry_Int_Tables_number 1
loop_
_symmetry_equiv_pos_as_xyz
'x,y,z'
loop_
_atom_site_label
_atom_site_type_symbol
_atom_site_fract_x
_atom_site_fract_y
_atom_site_fract_z
Sn1 Sn 0.0000 0.0000 0.0000
Sn2 Sn 0.1796 0.6513 0.5003
Hg1 Hg 0.4380 0.1279 0.6728
Hg2 Hg 0.4383 0.1291 0.3268
Hg3 Hg 0.7407 0.5235 0.1734
Hg4 Hg 0.7423 0.5222 0.8275
Au1 Au 0.0901 0.8252 0.7504
Au2 Au 0.0896 0.8261 0.2504
Au3 Au 0.3556 0.2937 0.0014
Au4 Au 0.8240 0.3576 0.5003
```

Main lines, low angle first (15 to 90 degrees two-theta):
2θ 21.99, intensity 540; 2θ 30.20, intensity 1000; 2θ 31.65, intensity 642; 2θ 31.76, intensity 645; 2θ 33.03, intensity 574; 2θ 36.80, intensity 440; 2θ 38.51, intensity 604; 2θ 41.58, intensity 856

***

2.
Computed X-ray diffraction stick pattern of Sn6HgAu2 for a wavelength of 1.5418 Å, from a PBE-relaxed structure.
Neutral-atom scattering factors, no anomalous dispersion.

Crystal structure
```
data_Sn6HgAu2
_chemical_formula_sum 'Sn6 Hg1 Au2'
_cell_length_a 4.4997
_cell_length_b 6.9588
_cell_length_c 8.2256
_cell_angle_alpha 91.37
_cell_angle_beta 103.64
_cell_angle_gamma 108.02
_symmetry_space_group_name_H-M 'P -1'
_symmetry_Int_Tables_number 2
loop_
_symmetry_equiv_pos_as_xyz
'x,y,z'
'-x,-y,-z'
loop_
_atom_site_label
_atom_site_type_symbol
_atom_site_fract_x
_atom_site_fract_y
_atom_site_fract_z
Sn1 Sn 0.0804 0.4751 0.2055
Sn2 Sn 0.3449 0.2051 0.9887
Sn3 Sn 0.3993 0.6922 0.5801
Hg1 Hg 0.0000 0.0000 0.5000
Au1 Au 0.3094 0.9042 0.2320
```

Main lines, low angle first (15 to 90 degrees two-theta):
2θ 27.92, intensity 327; 2θ 28.24, intensity 508; 2θ 33.62, intensity 560; 2θ 34.03, intensity 734; 2θ 34.91, intensity 524; 2θ 35.24, intensity 656; 2θ 40.13, intensity 1000; 2θ 41.53, intensity 417

***

3.
Computed X-ray diffraction stick pattern of SnHgAu4 for a wavelength of 1.5418 Å, from a PBE-relaxed structure.
Neutral-atom scattering factors, no anomalous dispersion.

Crystal structure
```
data_SnHgAu4
_chemical_formula_sum 'Sn2 Hg2 Au8'
_cell_length_a 14.6037
_cell_length_b 5.4277
_cell_length_c 3.3278
_cell_angle_alpha 90.00
_cell_angle_beta 98.61
_cell_angle_gamma 90.00
_symmetry_space_group_name_H-M 'C 1 m 1'
_symmetry_Int_Tables_number 8
loop_
_symmetry_equiv_pos_as_xyz
'x,y,z'
'x,-y,z'
'x+1/2,y+1/2,z'
'x+1/2,-y+1/2,z'
loop_
_atom_site_label
_atom_site_type_symbol
_atom_site_fract_x
_atom_site_fract_y
_atom_site_fract_z
Sn1 Sn 0.0000 0.0000 0.0000
Hg1 Hg 0.2960 0.5000 0.2237
Au1 Au 0.1446 0.2506 0.5919
Au2 Au 0.3145 0.0000 0.8167
Au3 Au 0.4728 0.0000 0.4015
```

Main lines, low angle first (15 to 90 degrees two-theta):
2θ 28.07, intensity 503; 2θ 33.21, intensity 825; 2θ 34.81, intensity 875; 2θ 35.33, intensity 1000; 2θ 37.37, intensity 918; 2θ 39.73, intensity 444; 2θ 41.64, intensity 862; 2θ 43.18, intensity 474

***

4.
Computed X-ray diffraction stick pattern of Sn8HgAu6 for a wavelength of 1.5418 Å, from a PBE-relaxed structure.
Neutral-atom scattering factors, no anomalous dispersion.

Crystal structure
```
data_Sn8HgAu6
_chemical_formula_sum 'Sn8 Hg1 Au6'
_cell_length_a 10.6645
_cell_length_b 10.6645
_cell_length_c 4.3519
_cell_angle_alpha 90.00
_cell_angle_beta 90.00
_cell_angle_gamma 120.00
_symmetry_space_group_name_H-M 'P -3'
_symmetry_Int_Tables_number 147
loop_
_symmetry_equiv_pos_as_xyz
'x,y,z'
'-x,-y,-z'
'-y,x-y,z'
'y,-x+y,-z'
'-x+y,-x,z'
'x-y,x,-z'
loop_
_atom_site_label
_atom_site_type_symbol
_atom_site_fract_x
_atom_site_fract_y
_atom_site_fract_z
Sn1 Sn 0.0202 0.3694 0.2483
Sn2 Sn 0.3333 0.6667 0.7517
Hg1 Hg 0.0000 0.0000 0.0000
Au1 Au 0.1564 0.6804 0.2518
```

Main lines, low angle first (15 to 90 degrees two-theta):
2θ 22.59, intensity 473; 2θ 25.52, intensity 656; 2θ 28.18, intensity 272; 2θ 29.00, intensity 264; 2θ 32.89, intensity 683; 2θ 39.64, intensity 1000; 2θ 40.88, intensity 425; 2θ 42.68, intensity 365

***

5.
Computed X-ray diffraction stick pattern of Tl2SnHgAu for a wavelength of 1.5418 Å, from a PBE-relaxed structure.
Neutral-atom scattering factors, no anomalous dispersion.

Crystal structure
```
data_Tl2SnHgAu
_chemical_formula_sum 'Tl2 Sn1 Hg1 Au1'
_cell_length_a 4.5533
_cell_length_b 4.5723
_cell_length_c 7.2472
_cell_angle_alpha 90.00
_cell_angle_beta 90.00
_cell_angle_gamma 90.00
_symmetry_space_group_name_H-M 'P m m 2'
_symmetry_Int_Tables_number 25
loop_
_symmetry_equiv_pos_as_xyz
'x,y,z'
'-x,-y,z'
'-x,y,z'
'x,-y,z'
loop_
_atom_site_label
_atom_site_type_symbol
_atom_site_fract_x
_atom_site_fract_y
_atom_site_fract_z
Tl1 Tl 0.0000 0.0000 0.0000
Tl2 Tl 0.5000 0.5000 0.0019
Sn1 Sn 0.5000 0.0000 0.6374
Hg1 Hg 0.0000 0.5000 0.5975
Au1 Au 0.5000 0.0000 0.2693
```

Main lines, low angle first (15 to 90 degrees two-theta):
2θ 23.03, intensity 228; 2θ 30.32, intensity 1000; 2θ 31.53, intensity 187; 2θ 37.29, intensity 663; 2θ 39.41, intensity 239; 2θ 39.59, intensity 236; 2θ 46.99, intensity 207; 2θ 70.13, intensity 201

***

6.
Computed X-ray diffraction stick pattern of Sr2HgAu for a wavelength of 1.5418 Å, from a PBE-relaxed structure.
Neutral-atom scattering factors, no anomalous dispersion.

Crystal structure
```
data_Sr2HgAu
_chemical_formula_sum 'Sr4 Hg2 Au2'
_cell_length_a 6.4160
_cell_length_b 4.8459
_cell_length_c 8.8383
_cell_angle_alpha 90.00
_cell_angle_beta 110.44
_cell_angle_gamma 90.00
_symmetry_space_group_name_H-M 'P 1 21/m 1'
_symmetry_Int_Tables_number 11
loop_
_symmetry_equiv_pos_as_xyz
'x,y,z'
'-x,-y,-z'
'-x,y+1/2,-z'
'x,-y+1/2,z'
loop_
_atom_site_label
_atom_site_type_symbol
_atom_site_fract_x
_atom_site_fract_y
_atom_site_fract_z
Sr1 Sr 0.2152 0.2500 0.4359
Sr2 Sr 0.2282 0.2500 0.9243
Hg1 Hg 0.3347 0.7500 0.2105
Au1 Au 0.3444 0.7500 0.7092
```

Main lines, low angle first (15 to 90 degrees two-theta):
2θ 21.42, intensity 494; 2θ 28.32, intensity 1000; 2θ 29.72, intensity 234; 2θ 35.13, intensity 471; 2θ 35.39, intensity 613; 2θ 35.53, intensity 608; 2θ 37.11, intensity 380; 2θ 40.84, intensity 288

***

7.
Computed X-ray diffraction stick pattern of SrHg2Au6 for a wavelength of 1.5418 Å, from a PBE-relaxed structure.
Neutral-atom scattering factors, no anomalous dispersion.

Crystal structure
Cell: 12.4550 12.4550 12.4550 Å, 90.00 90.00 90.00°
Space group Fd-3m (No. 227, origin choice 2)
One atom of each set of equivalent atoms:
Sr  0.1250  0.1250  0.1250 x8
Hg  0.0000  0.0000  0.5000 x16
Au  0.1180  0.3750  0.3750 x48

Main lines, low angle first (15 to 90 degrees two-theta):
2θ 20.17, intensity 196; 2θ 23.69, intensity 186; 2θ 24.76, intensity 141; 2θ 28.67, intensity 350; 2θ 40.99, intensity 1000; 2θ 59.36, intensity 168; 2θ 67.23, intensity 121; 2θ 74.67, intensity 343

***

8.
Computed X-ray diffraction stick pattern of Sr6HgAu for a wavelength of 1.5418 Å, from a PBE-relaxed structure.
Neutral-atom scattering factors, no anomalous dispersion.

Crystal structure
```
data_Sr6HgAu
_chemical_formula_sum 'Sr12 Hg2 Au2'
_cell_length_a 5.6874
_cell_length_b 5.6874
_cell_length_c 20.5862
_cell_angle_alpha 90.00
_cell_angle_beta 90.00
_cell_angle_gamma 90.00
_symmetry_space_group_name_H-M 'I 4/m m m'
_symmetry_Int_Tables_number 139
_symmetry_space_group_name_Hall '-I 4 2'
loop_
_atom_site_label
_atom_site_type_symbol
_atom_site_fract_x
_atom_site_fract_y
_atom_site_fract_z
Sr1 Sr 0.0000 0.0000 0.2489
Sr2 Sr 0.0000 0.5000 0.0908
Hg1 Hg 0.0000 0.0000 0.0000
Au1 Au 0.0000 0.0000 0.5000
```

Main lines, low angle first (15 to 90 degrees two-theta):
2θ 17.23, intensity 141; 2θ 28.16, intensity 1000; 2θ 31.46, intensity 500; 2θ 32.67, intensity 143; 2θ 34.36, intensity 290; 2θ 41.67, intensity 213; 2θ 45.09, intensity 185; 2θ 54.01, intensity 327

***

9.
Computed X-ray diffraction stick pattern of Sr6HgAu for a wavelength of 1.5418 Å, from a PBE-relaxed structure.
Neutral-atom scattering factors, no anomalous dispersion.

Crystal structure
```
data_Sr6HgAu
_chemical_formula_sum 'Sr18 Hg3 Au3'
_cell_length_a 7.7193
_cell_length_b 7.7193
_cell_length_c 22.0190
_cell_angle_alpha 90.00
_cell_angle_beta 90.00
_cell_angle_gamma 120.00
_symmetry_space_group_name_H-M 'R -3'
_symmetry_Int_Tables_number 148
_symmetry_space_group_name_Hall '-R 3'
loop_
_atom_site_label
_atom_site_type_symbol
_atom_site_fract_x
_atom_site_fract_y
_atom_site_fract_z
Sr1 Sr 0.0004 0.3435 0.4150
Hg1 Hg 0.0000 0.0000 0.5000
Au1 Au 0.0000 0.0000 0.0000
```

Main lines, low angle first (15 to 90 degrees two-theta):
2θ 15.51, intensity 1000; 2θ 20.90, intensity 568; 2θ 26.08, intensity 861; 2θ 27.90, intensity 299; 2θ 33.70, intensity 928; 2θ 36.48, intensity 280; 2θ 40.48, intensity 543; 2θ 65.93, intensity 298

***

10.
Computed X-ray diffraction stick pattern of Sr2Hg2Au for a wavelength of 1.5418 Å, from a PBE-relaxed structure.
Neutral-atom scattering factors, no anomalous dispersion.

Crystal structure
```
data_Sr2Hg2Au
_chemical_formula_sum 'Sr4 Hg4 Au2'
_cell_length_a 4.1310
_cell_length_b 4.5374
_cell_length_c 16.0535
_cell_angle_alpha 90.00
_cell_angle_beta 90.00
_cell_angle_gamma 90.00
_symmetry_space_group_name_H-M 'A m m 2'
_symmetry_Int_Tables_number 38
loop_
_symmetry_equiv_pos_as_xyz
'x,y,z'
'-x,-y,z'
'-x,y,z'
'x,-y,z'
'x,y+1/2,z+1/2'
'-x,-y+1/2,z+1/2'
'-x,y+1/2,z+1/2'
'x,-y+1/2,z+1/2'
loop_
_atom_site_label
_atom_site_type_symbol
_atom_site_fract_x
_atom_site_fract_y
_atom_site_fract_z
Sr1 Sr 0.0000 0.0000 0.0000
Sr2 Sr 0.0000 0.0000 0.2465
Hg1 Hg 0.5000 0.0000 0.6215
Hg2 Hg 0.5000 0.0000 0.8220
Au1 Au 0.5000 0.0000 0.4329
```

Main lines, low angle first (15 to 90 degrees two-theta):
2θ 20.34, intensity 249; 2θ 21.51, intensity 447; 2θ 29.77, intensity 1000; 2θ 31.07, intensity 419; 2θ 34.21, intensity 849; 2θ 39.73, intensity 327; 2θ 40.77, intensity 431; 2θ 56.75, intensity 404

***

11.
Computed X-ray diffraction stick pattern of Sr2HgAu16 for a wavelength of 1.5418 Å, from a PBE-relaxed structure.
Neutral-atom scattering factors, no anomalous dispersion.

Crystal structure
```
data_Sr2HgAu16
_chemical_formula_sum 'Sr6 Hg3 Au48'
_cell_length_a 9.8114
_cell_length_b 9.8114
_cell_length_c 14.2374
_cell_angle_alpha 90.00
_cell_angle_beta 90.00
_cell_angle_gamma 120.00
_symmetry_space_group_name_H-M 'R 3 m'
_symmetry_Int_Tables_number 160
_symmetry_space_group_name_Hall 'R 3 -2"'
loop_
_atom_site_label
_atom_site_type_symbol
_atom_site_fract_x
_atom_site_fract_y
_atom_site_fract_z
Sr1 Sr 0.0000 0.0000 0.0000
Sr2 Sr 0.0000 0.0000 0.3168
Hg1 Hg 0.0000 0.0000 0.7519
Au1 Au 0.0000 0.0000 0.5512
Au2 Au 0.0000 0.3115 0.6548
Au3 Au 0.0020 0.5010 0.1553
Au4 Au 0.0033 0.5016 0.8109
Au5 Au 0.1709 0.3418 0.8321
```

Main lines, low angle first (15 to 90 degrees two-theta):
2θ 18.08, intensity 270; 2θ 31.59, intensity 245; 2θ 36.64, intensity 439; 2θ 36.96, intensity 825; 2θ 37.92, intensity 309; 2θ 41.44, intensity 1000; 2θ 42.31, intensity 310; 2θ 65.96, intensity 269

***

12.
Computed X-ray diffraction stick pattern of Sr5Hg4Au for a wavelength of 1.5418 Å, from a PBE-relaxed structure.
Neutral-atom scattering factors, no anomalous dispersion.

Crystal structure
```
data_Sr5Hg4Au
_chemical_formula_sum 'Sr5 Hg4 Au1'
_cell_length_a 3.9276
_cell_length_b 3.9276
_cell_length_c 20.2496
_cell_angle_alpha 90.00
_cell_angle_beta 90.00
_cell_angle_gamma 90.00
_symmetry_space_group_name_H-M 'P 4/m m m'
_symmetry_Int_Tables_number 123
_symmetry_space_group_name_Hall '-P 4 2'
loop_
_atom_site_label
_atom_site_type_symbol
_atom_site_fract_x
_atom_site_fract_y
_atom_site_fract_z
Sr1 Sr 0.0000 0.0000 0.0000
Sr2 Sr 0.0000 0.0000 0.2026
Sr3 Sr 0.0000 0.0000 0.4067
Hg1 Hg 0.5000 0.5000 0.1016
Hg2 Hg 0.5000 0.5000 0.3042
Au1 Au 0.5000 0.5000 0.5000
```

Main lines, low angle first (15 to 90 degrees two-theta):
2θ 22.64, intensity 168; 2θ 31.74, intensity 1000; 2θ 32.23, intensity 486; 2θ 44.76, intensity 94; 2θ 46.23, intensity 180; 2θ 56.22, intensity 193; 2θ 57.16, intensity 380; 2θ 66.30, intensity 118

***

13.
Computed X-ray diffraction stick pattern of SrHg2Au5 for a wavelength of 1.5418 Å, from a PBE-relaxed structure.
Neutral-atom scattering factors, no anomalous dispersion.

Crystal structure
```
data_SrHg2Au5
_chemical_formula_sum 'Sr2 Hg4 Au10'
_cell_length_a 4.1720
_cell_length_b 7.2061
_cell_length_c 12.5120
_cell_angle_alpha 90.00
_cell_angle_beta 90.00
_cell_angle_gamma 90.00
_symmetry_space_group_name_H-M 'I m m m'
_symmetry_Int_Tables_number 71
_symmetry_space_group_name_Hall '-I 2 2'
loop_
_atom_site_label
_atom_site_type_symbol
_atom_site_fract_x
_atom_site_fract_y
_atom_site_fract_z
Sr1 Sr 0.0000 0.0000 0.0000
Hg1 Hg 0.0000 0.5000 0.2441
Au1 Au 0.0000 0.2038 0.3853
Au2 Au 0.0000 0.5000 0.0000
```

Main lines, low angle first (15 to 90 degrees two-theta):
2θ 28.55, intensity 179; 2θ 30.30, intensity 292; 2θ 33.64, intensity 610; 2θ 38.09, intensity 1000; 2θ 42.11, intensity 297; 2θ 43.43, intensity 618; 2θ 59.08, intensity 449; 2θ 76.09, intensity 240

***

14.
Computed X-ray diffraction stick pattern of Sr3Hg3Au8 for a wavelength of 1.5418 Å, from a PBE-relaxed structure.
Neutral-atom scattering factors, no anomalous dispersion.

Crystal structure
```
data_Sr3Hg3Au8
_chemical_formula_sum 'Sr6 Hg6 Au16'
_cell_length_a 4.7950
_cell_length_b 9.9503
_cell_length_c 14.2695
_cell_angle_alpha 90.00
_cell_angle_beta 90.00
_cell_angle_gamma 90.00
_symmetry_space_group_name_H-M 'I m m m'
_symmetry_Int_Tables_number 71
_symmetry_space_group_name_Hall '-I 2 2'
loop_
_atom_site_label
_atom_site_type_symbol
_atom_site_fract_x
_atom_site_fract_y
_atom_site_fract_z
Sr1 Sr 0.0000 0.0000 0.0000
Sr2 Sr 0.0000 0.0000 0.2955
Hg1 Hg 0.0000 0.2046 0.5000
Hg2 Hg 0.0000 0.5000 0.0000
Au1 Au 0.0000 0.2798 0.1388
Au2 Au 0.0000 0.3638 0.3332
```

Main lines, low angle first (15 to 90 degrees two-theta):
2θ 17.83, intensity 311; 2θ 32.03, intensity 1000; 2θ 32.86, intensity 314; 2θ 35.22, intensity 442; 2θ 37.51, intensity 597; 2θ 37.83, intensity 351; 2θ 41.69, intensity 374; 2θ 54.33, intensity 250